No. 1
Computed powder XRD pattern of NaDyFe4O12 for Cu Kα, from a DFT-relaxed cell (PBE+U, the Materials Project).

Peak list (12 most intense, 10° ≤ 2θ ≤ 90°, low angle first)
2θ/deg, Rel. int.
11.57, 39
16.85, 42
20.48, 93
28.85, 19
33.21, 42
34.03, 100
40.75, 19
47.54, 21
47.81, 21
59.77, 23
59.95, 20
61.43, 24

Structure:
```
18
Lattice="7.651 0.000 0.000 0.000 3.642 3.805 0.000 -3.642 3.805" Properties=species:S:1:pos:R:3 pbc="T T T"
Na 0.000 0.000 0.000
Dy 3.826 0.000 3.544
Fe 1.846 -1.808 5.605
Fe 1.846 1.808 5.605
Fe 5.805 -1.808 5.605
Fe 5.805 1.808 5.605
O 0.000 -1.366 1.810
O 0.000 1.366 1.810
O 1.521 0.000 6.001
O 1.966 -1.419 3.719
O 1.966 1.419 3.719
O 2.425 0.000 1.575
O 3.826 -1.388 5.582
O 3.826 1.388 5.582
O 5.227 0.000 1.575
O 5.685 -1.419 3.719
O 5.685 1.419 3.719
O 6.130 0.000 6.001
```



No. 2
Computed powder XRD pattern of Li2Co2OF6 for Cu Kα, from a DFT-relaxed cell (PBE+U, the Materials Project).

Peak list (12 most intense, 10° ≤ 2θ ≤ 90°, low angle first)
2θ/deg, Rel. int.
14.01, 100
15.21, 80
21.76, 43
23.10, 96
25.43, 34
25.67, 20
29.95, 21
34.89, 22
41.39, 38
42.63, 45
46.26, 42
55.73, 20

Structure:
```
22
Lattice="5.336 0.000 0.000 0.848 6.630 0.000 2.194 2.438 7.705" Properties=species:S:1:pos:R:3 pbc="T T T"
Li 1.331 2.529 2.670
Li 4.239 5.588 5.713
Li 4.139 3.479 1.992
Li 7.047 6.538 5.034
Co 3.687 8.595 6.233
Co 2.812 5.962 2.273
Co 5.566 3.105 5.432
Co 4.691 0.473 1.472
O 1.777 2.327 4.849
O 6.601 6.740 2.855
F 3.053 6.794 6.515
F 1.964 6.247 0.494
F 2.328 4.089 2.246
F 3.387 5.953 4.044
F 3.899 3.717 6.123
F 2.909 1.158 2.018
F 5.468 7.909 5.686
F 4.479 5.351 1.581
F 4.990 3.114 3.661
F 6.050 4.978 5.459
F 6.414 2.820 7.211
F 5.324 2.273 1.190
```